Structure and calculated PXRD pattern of Ca2Cd2Rh (DFT lattice parameters and positions (GGA-PBE); Cu Kα (λ = 1.5418 Å)).
Peak positions follow from Bragg's law for the DFT cell and can differ from measured ones.

Largest 10 diffraction maxima, by angle, 2θ from 15° to 90°:
- 2θ 15.98, rel. 100, hkl 0 1 0
- 2θ 23.38, rel. 77, hkl 1 1 1
- 2θ 23.72, rel. 36, hkl 0 1 -2
- 2θ 31.23, rel. 82, hkl 1 1 -2
- 2θ 32.58, rel. 65, hkl 1 -1 0
- 2θ 37.08, rel. 94, hkl -1 1 2
- 2θ 37.68, rel. 56, hkl 0 2 -2
- 2θ 39.85, rel. 35, hkl 1 -1 3
- 2θ 42.56, rel. 44, hkl 1 0 -4
- 2θ 44.29, rel. 51, hkl 2 1 1

Atomic structure:
Cell: 4.0899 5.9356 11.4498 Å, 80.91 79.77 69.94°
Fractional coordinates of all 10 atoms:
Ca (0.0037, 0.1566, 0.3349)
Ca (0.1986, 0.2457, 0.8576)
Ca (0.8014, 0.7543, 0.1424)
Ca (0.9963, 0.8434, 0.6651)
Cd (0.3291, 0.2932, 0.5487)
Cd (0.4680, 0.6742, 0.8939)
Cd (0.5320, 0.3258, 0.1061)
Cd (0.6709, 0.7068, 0.4513)
Rh (0.3172, 0.5531, 0.3113)
Rh (0.6828, 0.4469, 0.6887)